Entry 1:
Simulated X-ray diffraction stick pattern of ZrZnCu5 for a wavelength of 1.5418 Å, from a structure optimized by DFT (PBE).

Crystal structure
```
ZrZnCu5
1.0
7.923 0.000 0.000
0.000 4.851 0.000
0.000 0.000 10.144
Zr Zn Cu
4 4 20
Direct
0.246 0.250 0.067 Zr
0.254 0.750 0.567 Zr
0.746 0.250 0.433 Zr
0.754 0.750 0.933 Zr
0.142 0.750 0.856 Zn
0.358 0.250 0.356 Zn
0.642 0.750 0.644 Zn
0.858 0.250 0.144 Zn
0.053 0.750 0.087 Cu
0.067 0.006 0.307 Cu
0.067 0.494 0.307 Cu
0.092 0.250 0.516 Cu
0.186 0.250 0.748 Cu
0.314 0.750 0.248 Cu
0.408 0.750 0.016 Cu
0.433 0.506 0.807 Cu
0.433 0.994 0.807 Cu
0.447 0.250 0.587 Cu
0.553 0.750 0.413 Cu
0.567 0.006 0.193 Cu
0.567 0.494 0.193 Cu
0.592 0.250 0.984 Cu
0.686 0.250 0.752 Cu
0.814 0.750 0.252 Cu
0.908 0.750 0.484 Cu
0.933 0.506 0.693 Cu
0.933 0.994 0.693 Cu
0.947 0.250 0.913 Cu
```

Main lines, sorted by position (5 to 70 degrees two-theta):
d (Å)	I (rel.)
2.415	45
2.272	79
2.261	100
2.027	43
1.955	43
1.913	63

***

Entry 2:
Simulated X-ray diffraction stick pattern of ZrAlSi for a wavelength of 1.5418 Å, from a structure optimized by DFT (PBE).

Crystal structure
```
ZrAlSi
1.0
5.114 0.000 0.000
0.000 7.241 0.000
0.000 0.000 5.534
Zr Al Si
4 4 4
Direct
0.141 0.102 0.250 Zr
0.141 0.398 0.750 Zr
0.859 0.602 0.250 Zr
0.859 0.898 0.750 Zr
0.328 0.750 0.000 Al
0.328 0.750 0.500 Al
0.672 0.250 0.000 Al
0.672 0.250 0.500 Al
0.343 0.049 0.750 Si
0.343 0.451 0.250 Si
0.657 0.549 0.750 Si
0.657 0.951 0.250 Si
```

Main lines, sorted by position (5 to 70 degrees two-theta):
d (Å)	I (rel.)
3.030	68
2.767	45
2.607	73
2.307	65
2.211	100
2.183	61

***

Entry 3:
Simulated X-ray diffraction stick pattern of Pr2Dy2Th15 for a wavelength of 1.5418 Å, from a structure optimized by DFT (PBE).

Crystal structure
```
Pr2Dy2Th15
1.0
5.766 3.329 5.714
-5.766 3.329 5.714
0.000 -6.659 5.714
Pr Dy Th
2 2 15
Direct
0.160 0.160 0.160 Pr
0.840 0.840 0.840 Pr
0.399 0.399 0.399 Dy
0.601 0.601 0.601 Dy
0.000 0.500 0.500 Th
0.154 0.154 0.673 Th
0.154 0.673 0.154 Th
0.198 0.500 0.802 Th
0.198 0.802 0.500 Th
0.327 0.846 0.846 Th
0.500 0.000 0.500 Th
0.500 0.198 0.802 Th
0.500 0.500 0.000 Th
0.500 0.802 0.198 Th
0.673 0.154 0.154 Th
0.802 0.198 0.500 Th
0.802 0.500 0.198 Th
0.846 0.327 0.846 Th
0.846 0.846 0.327 Th
```

Main lines, sorted by position (5 to 70 degrees two-theta):
d (Å)	I (rel.)
5.766	20
2.879	100
2.857	29
2.574	69
2.560	19
1.653	23

***

Entry 4:
Simulated X-ray diffraction stick pattern of PmEr2Ir2 for a wavelength of 1.5418 Å, from a structure optimized by DFT (PBE).

Crystal structure
```
PmEr2Ir2
1.0
5.440 0.000 0.000
0.000 4.424 0.000
-1.585 0.000 10.435
Pm Er Ir
2 4 4
Direct
0.089 0.250 0.285 Pm
0.911 0.750 0.715 Pm
0.251 0.250 0.972 Er
0.395 0.250 0.615 Er
0.605 0.750 0.385 Er
0.749 0.750 0.028 Er
0.154 0.750 0.476 Ir
0.276 0.750 0.137 Ir
0.724 0.250 0.863 Ir
0.846 0.250 0.524 Ir
```

Main lines, sorted by position (5 to 70 degrees two-theta):
d (Å)	I (rel.)
3.159	40
2.735	79
2.563	73
2.329	48
2.211	100
2.186	38

***

Entry 5:
Simulated X-ray diffraction stick pattern of Ca2TmH12Rh3 for a wavelength of 1.5418 Å, from a structure optimized by DFT (PBE).

Crystal structure
```
Ca2TmH12Rh3
1.0
3.316 1.914 4.589
-3.316 1.914 4.589
0.000 -3.828 4.589
Ca Tm H Rh
2 1 12 3
Direct
0.120 0.120 0.120 Ca
0.880 0.880 0.880 Ca
0.500 0.500 0.500 Tm
0.092 0.636 0.636 H
0.213 0.213 0.618 H
0.213 0.618 0.213 H
0.364 0.364 0.908 H
0.364 0.908 0.364 H
0.382 0.787 0.787 H
0.618 0.213 0.213 H
0.636 0.092 0.636 H
0.636 0.636 0.092 H
0.787 0.382 0.787 H
0.787 0.787 0.382 H
0.908 0.364 0.364 H
0.000 0.500 0.500 Rh
0.500 0.000 0.500 Rh
0.500 0.500 0.000 Rh
```

Main lines, sorted by position (5 to 70 degrees two-theta):
d (Å)	I (rel.)
5.300	100
2.687	88
2.650	93
2.483	37
2.205	36
1.658	31

***

Entry 6:
Simulated X-ray diffraction stick pattern of Be2AgAu3 for a wavelength of 1.5418 Å, from a structure optimized by DFT (PBE).

Crystal structure
```
Be2AgAu3
1.0
2.933 0.000 0.000
0.000 2.933 0.000
0.000 0.000 10.248
Be Ag Au
2 1 3
Direct
0.000 0.000 0.150 Be
0.000 0.000 0.850 Be
0.000 0.000 0.500 Ag
0.500 0.500 0.000 Au
0.500 0.500 0.290 Au
0.500 0.500 0.710 Au
```

Main lines, sorted by position (5 to 70 degrees two-theta):
d (Å)	I (rel.)
2.933	67
2.562	29
2.545	28
2.225	100
2.074	60
1.612	28

***

Entry 7:
Simulated X-ray diffraction stick pattern of Pm4Dy3 for a wavelength of 1.5418 Å, from a structure optimized by DFT (PBE).

Crystal structure
```
Pm4Dy3
1.0
5.688 -2.548 0.000
5.688 2.548 0.000
-1.134 0.000 7.990
Pm Dy
4 3
Direct
0.142 0.142 0.427 Pm
0.286 0.286 0.858 Pm
0.714 0.714 0.142 Pm
0.858 0.858 0.573 Pm
0.000 0.000 0.000 Dy
0.429 0.429 0.286 Dy
0.571 0.571 0.714 Dy
```

Main lines, sorted by position (5 to 70 degrees two-theta):
d (Å)	I (rel.)
2.942	100
2.549	34
1.803	18
1.800	18
1.537	22
1.535	21

***

Entry 8:
Simulated X-ray diffraction stick pattern of Cs4KCd3F12 for a wavelength of 1.5418 Å, from a structure optimized by DFT (PBE).

Crystal structure
```
Cs4KCd3F12
1.0
-4.646 4.646 4.646
4.646 -4.646 4.646
4.646 4.646 -4.646
Cs K Cd F
4 1 3 12
Direct
0.000 0.000 0.500 Cs
0.000 0.500 0.000 Cs
0.500 0.000 0.000 Cs
0.500 0.500 0.500 Cs
0.000 0.000 0.000 K
0.000 0.500 0.500 Cd
0.500 0.000 0.500 Cd
0.500 0.500 0.000 Cd
0.000 0.272 0.272 F
0.000 0.728 0.728 F
0.250 0.500 0.750 F
0.250 0.750 0.500 F
0.272 0.000 0.272 F
0.272 0.272 0.000 F
0.500 0.250 0.750 F
0.500 0.750 0.250 F
0.728 0.000 0.728 F
0.728 0.728 0.000 F
0.750 0.250 0.500 F
0.750 0.500 0.250 F
```

Main lines, sorted by position (5 to 70 degrees two-theta):
d (Å)	I (rel.)
3.285	100
2.682	8
2.323	36
1.897	41
1.642	23
1.469	18

***

What did the second record say?
Simulated X-ray diffraction stick pattern of ZrAlSi for a wavelength of 1.5418 Å, from a structure optimized by DFT (PBE).

Crystal structure
```
ZrAlSi
1.0
5.114 0.000 0.000
0.000 7.241 0.000
0.000 0.000 5.534
Zr Al Si
4 4 4
Direct
0.141 0.102 0.250 Zr
0.141 0.398 0.750 Zr
0.859 0.602 0.250 Zr
0.859 0.898 0.750 Zr
0.328 0.750 0.000 Al
0.328 0.750 0.500 Al
0.672 0.250 0.000 Al
0.672 0.250 0.500 Al
0.343 0.049 0.750 Si
0.343 0.451 0.250 Si
0.657 0.549 0.750 Si
0.657 0.951 0.250 Si
```

Main lines, sorted by position (5 to 70 degrees two-theta):
d (Å)	I (rel.)
3.030	68
2.767	45
2.607	73
2.307	65
2.211	100
2.183	61